No. 1
Theoretical PXRD pattern of BaPa2RuO8 for Cu Kα (weighted mean of Kα1 and Kα2), from DFT lattice parameters and positions (GGA-PBE).
Lines closer than 0.1° are merged.

Peak list (6 most intense, 15 to 90 degrees two-theta, by intensity)
2θ (°)  I/Imax
30.41  100
24.06  55
25.17  48
46.47  40
47.74  34
35.09  29

Atomic structure:
```
BaPa2RuO8
1.0
5.1184 0.0000 0.0000
0.0000 7.1834 0.0000
-0.2272 0.0000 5.1146
Ba Pa Ru O
1 2 1 8
direct
0.0000 0.0000 0.0000 Ba
0.5000 0.2589 0.5000 Pa
0.5000 0.7411 0.5000 Pa
0.0000 0.5000 0.0000 Ru
0.2016 0.3054 0.2061 O
0.2016 0.6946 0.2061 O
0.2956 0.5000 0.7072 O
0.3424 0.0000 0.6683 O
0.6576 0.0000 0.3317 O
0.7044 0.5000 0.2928 O
0.7984 0.3054 0.7939 O
0.7984 0.6946 0.7939 O
```

---

No. 2
Theoretical PXRD pattern of ErPaRh6 for Cu Kα (weighted mean of Kα1 and Kα2), from DFT lattice parameters and positions (GGA-PBE).
Lines closer than 0.1° are merged.

Peak list (6 most intense, 15 to 90 degrees two-theta, by intensity)
2θ (°)  I/Imax
38.59  100
44.66  33
78.21  25
65.46  21
45.25  16
79.07  12

Atomic structure:
```
ErPaRh6
1.0
5.7392 0.0000 0.0000
0.0000 5.7392 0.0000
0.0000 0.0000 4.0076
Er Pa Rh
1 1 6
direct
0.0000 0.0000 0.0000 Er
0.5000 0.5000 0.0000 Pa
0.0000 0.5000 0.0000 Rh
0.2538 0.2538 0.5000 Rh
0.2538 0.7462 0.5000 Rh
0.5000 0.0000 0.0000 Rh
0.7462 0.2538 0.5000 Rh
0.7462 0.7462 0.5000 Rh
```

---

No. 3
Theoretical PXRD pattern of CdPt6Rh3 for Cu Kα (weighted mean of Kα1 and Kα2), from DFT lattice parameters and positions (GGA-PBE).
Lines closer than 0.1° are merged.

Peak list (6 most intense, 15 to 90 degrees two-theta, by intensity)
2θ (°)  I/Imax
39.39  100
45.45  16
45.61  16
46.35  16
81.17  12
67.06  10

Atomic structure:
```
CdPt6Rh3
1.0
5.6257 0.0000 0.0000
0.0000 3.9182 0.0000
-0.0495 0.0000 14.1114
Cd Pt Rh
2 12 6
direct
0.1297 0.2500 0.0532 Cd
0.8703 0.7500 0.9468 Cd
0.1246 0.2500 0.2533 Pt
0.1256 0.2500 0.6467 Pt
0.1323 0.2500 0.8443 Pt
0.3733 0.7500 0.3513 Pt
0.3739 0.7500 0.5487 Pt
0.3801 0.7500 0.9453 Pt
0.6199 0.2500 0.0547 Pt
0.6261 0.2500 0.4513 Pt
0.6267 0.2500 0.6487 Pt
0.8677 0.7500 0.1557 Pt
0.8744 0.7500 0.3533 Pt
0.8754 0.7500 0.7467 Pt
0.1230 0.2500 0.4524 Rh
0.3784 0.7500 0.7464 Rh
0.3803 0.7500 0.1581 Rh
0.6197 0.2500 0.8419 Rh
0.6216 0.2500 0.2536 Rh
0.8770 0.7500 0.5476 Rh
```

---

No. 4
Theoretical PXRD pattern of Cs4Pu3AgO12 for Cu Kα (weighted mean of Kα1 and Kα2), from DFT lattice parameters and positions (GGA-PBE).
Lines closer than 0.1° are merged.

Peak list (6 most intense, 15 to 90 degrees two-theta, by intensity)
2θ (°)  I/Imax
28.39  100
50.26  41
40.58  27
80.90  22
66.50  19
58.74  18

Atomic structure:
```
Cs4Pu3AgO12
1.0
-4.4463 4.4463 4.4463
4.4463 -4.4463 4.4463
4.4463 4.4463 -4.4463
Cs Pu Ag O
4 3 1 12
direct
0.0000 0.0000 0.5000 Cs
0.0000 0.5000 0.0000 Cs
0.5000 0.0000 0.0000 Cs
0.5000 0.5000 0.5000 Cs
0.0000 0.5000 0.5000 Pu
0.5000 0.0000 0.5000 Pu
0.5000 0.5000 0.0000 Pu
0.0000 0.0000 0.0000 Ag
0.0000 0.2887 0.2887 O
0.0000 0.7113 0.7113 O
0.2500 0.5000 0.7500 O
0.2500 0.7500 0.5000 O
0.2887 0.0000 0.2887 O
0.2887 0.2887 0.0000 O
0.5000 0.2500 0.7500 O
0.5000 0.7500 0.2500 O
0.7113 0.0000 0.7113 O
0.7113 0.7113 0.0000 O
0.7500 0.2500 0.5000 O
0.7500 0.5000 0.2500 O
```

---

No. 5
Theoretical PXRD pattern of CeNi5Hg for Cu Kα (weighted mean of Kα1 and Kα2), from DFT lattice parameters and positions (GGA-PBE).
Lines closer than 0.1° are merged.

Peak list (6 most intense, 15 to 90 degrees two-theta, by intensity)
2θ (°)  I/Imax
39.01  100
45.43  94
38.85  62
47.04  56
44.31  55
37.02  50

Atomic structure:
```
CeNi5Hg
1.0
8.1364 0.0000 0.0000
0.0000 4.8569 0.0000
0.0000 0.0000 10.3955
Ce Ni Hg
4 20 4
direct
0.2457 0.2500 0.0610 Ce
0.2543 0.7500 0.5610 Ce
0.7457 0.2500 0.4390 Ce
0.7543 0.7500 0.9390 Ce
0.0509 0.2500 0.6105 Ni
0.0710 0.0000 0.8127 Ni
0.0710 0.5000 0.8127 Ni
0.0816 0.7500 0.0175 Ni
0.1853 0.7500 0.2381 Ni
0.3147 0.2500 0.7381 Ni
0.4184 0.2500 0.5175 Ni
0.4290 0.0000 0.3127 Ni
0.4290 0.5000 0.3127 Ni
0.4491 0.7500 0.1105 Ni
0.5509 0.2500 0.8895 Ni
0.5710 0.0000 0.6873 Ni
0.5710 0.5000 0.6873 Ni
0.5816 0.7500 0.4825 Ni
0.6853 0.7500 0.2619 Ni
0.8147 0.2500 0.7619 Ni
0.9184 0.2500 0.9825 Ni
0.9290 0.0000 0.1873 Ni
0.9290 0.5000 0.1873 Ni
0.9491 0.7500 0.3895 Ni
0.1345 0.2500 0.3650 Hg
0.3655 0.7500 0.8650 Hg
0.6345 0.2500 0.1350 Hg
0.8655 0.7500 0.6350 Hg
```

---

No. 6
Theoretical PXRD pattern of K3PH for Cu Kα (weighted mean of Kα1 and Kα2), from DFT lattice parameters and positions (GGA-PBE).
Lines closer than 0.1° are merged.

Peak list (6 most intense, 15 to 90 degrees two-theta, by intensity)
2θ (°)  I/Imax
28.84  100
26.05  50
27.61  42
29.84  30
34.75  22
40.33  20

Atomic structure:
```
K3PH
1.0
6.3101 0.0000 0.0000
2.4299 6.1771 0.0000
1.0651 1.1608 7.6382
K P H
6 2 2
direct
0.0845 0.4634 0.2384 K
0.2915 0.9817 0.8765 K
0.3210 0.7815 0.4673 K
0.6790 0.2185 0.5327 K
0.7085 0.0183 0.1235 K
0.9155 0.5366 0.7616 K
0.4274 0.4586 0.8863 P
0.5726 0.5414 0.1137 P
0.1512 0.1870 0.5551 H
0.8488 0.8130 0.4449 H
```